No. 1
# Pr3Nd3Sc2
Calculated X-ray powder pattern, Cu Kα X-rays. Input: DFT lattice parameters and positions (GGA-PBE).
Kinematic intensities with the Lorentz-polarization factor, no thermal factor.

Cell and atoms:
Lattice parameters (Å, degrees): 5.1561 5.1567 19.6732 90.00 90.00 90.00
Space group Immm (No. 71)
One atom of each set of equivalent atoms:
1 Pr 0.0000 0.0000 0.0000
2 Pr 0.0000 0.5000 0.1337
3 Nd 0.0000 0.0000 0.5000
4 Nd 0.0000 0.5000 0.3664
5 Sc 0.0000 0.0000 0.2498

Most intense lines, 2θ from 10° to 90°, most intense first:
30.52°, I 1000; 34.80°, I 362; 59.75°, I 291; 36.54°, I 141; 50.03°, I 128; 26.06°, I 112

No. 2
# Pr6Nd4Sc
Calculated X-ray powder pattern, Cu Kα X-rays. Input: DFT lattice parameters and positions (GGA-PBE).
Kinematic intensities with the Lorentz-polarization factor, no thermal factor.

Cell and atoms:
Lattice parameters (Å, degrees): 8.8518 8.8518 9.7209 90.00 90.00 90.00
Space group P4/mnc (No. 128)
One atom of each set of equivalent atoms:
1 Pr 0.0000 0.0000 0.1705
2 Pr 0.1478 0.3413 0.5000
3 Nd 0.1472 0.6472 0.2500
4 Sc 0.0000 0.0000 0.5000

Most intense lines, 2θ from 10° to 90°, most intense first:
29.09°, I 1000; 31.97°, I 471; 59.35°, I 198; 61.88°, I 118; 58.29°, I 111; 37.00°, I 108